Entry 1:
# Ag3SI
Calculated powder diffractogram, CuKα. Input: the PBE geometry in the Materials Project.

Cell and atoms:
a = 7.1316 Å, b = 7.1316 Å, c = 8.5049 Å
α = 90.00°, β = 90.00°, γ = 120.00°
Positions (direct):
Ag 0.0000 0.4220 0.0000
Ag 0.0886 0.3333 0.3333
Ag 0.2447 0.9114 0.3333
Ag 0.3333 0.0886 0.6667
Ag 0.4220 0.0000 0.0000
Ag 0.5780 0.5780 0.0000
Ag 0.6667 0.7553 0.3333
Ag 0.7553 0.6667 0.6667
Ag 0.9114 0.2447 0.6667
S 0.0000 0.0000 0.5000
S 0.3333 0.6667 0.1667
S 0.6667 0.3333 0.8333
I 0.0000 0.0000 0.0000
I 0.3333 0.6667 0.6667
I 0.6667 0.3333 0.3333

Largest 12 diffraction maxima, sorted by position, 2θ from 10° to 90°:
two_theta	I (rel.)	hkl
24.97	64	1 1 0
30.80	100	0 2 1
31.56	53	0 0 3
35.94	95	2 0 2
40.05	22	2 1 1
40.66	35	1 1 3
43.98	21	3 0 0
44.26	23	1 2 2
52.23	31	0 2 4
54.66	26	1 3 1
58.05	20	3 1 2
69.99	15	2 3 2

---

Entry 2:
# Ag3SI
Calculated powder diffractogram, CuKα. Input: the PBE geometry in the Materials Project.

Cell and atoms:
a = 4.8921 Å, b = 4.9252 Å, c = 5.1208 Å
α = 89.94°, β = 89.40°, γ = 88.72°
Positions (direct):
Ag 0.0000 0.0000 0.0000
Ag 0.0099 0.4973 0.3465
Ag 0.5728 0.3756 0.7706
S 0.0673 0.4988 0.8440
I 0.5155 0.9593 0.3551

Largest 12 diffraction maxima, sorted by position, 2θ from 10° to 90°:
two_theta	I (rel.)	hkl
25.08	78	0 1 1
25.32	36	1 0 -1
30.77	78	1 1 1
31.01	98	1 1 -1
31.28	100	1 -1 1
31.48	39	-1 1 1
35.05	40	0 0 2
36.50	67	0 2 0
36.75	84	2 0 0
39.68	32	0 1 -2
40.67	31	1 2 0
44.28	32	-1 1 2

---

Entry 3:
# Ag7S2I2
Calculated powder diffractogram, CuKα. Input: the PBE geometry in the Materials Project.

Cell and atoms:
a = 4.5371 Å, b = 4.7052 Å, c = 14.9445 Å
α = 93.58°, β = 94.00°, γ = 114.99°
Positions (direct):
Ag 0.0000 0.0000 0.0000
Ag 0.0326 0.5251 0.3196
Ag 0.2344 0.2696 0.5974
Ag 0.5573 0.9626 0.4595
Ag 0.6842 0.3772 0.0836
Ag 0.7670 0.7191 0.7311
Ag 0.8973 0.6160 0.5281
S 0.2814 0.8088 0.6680
S 0.5221 0.4279 0.3871
I 0.3628 0.7691 0.1620
I 0.5222 0.4340 0.8933

Largest 12 diffraction maxima, sorted by position, 2θ from 10° to 90°:
two_theta	I (rel.)	hkl
11.93	53	0 0 2
23.62	100	-1 1 1
29.80	52	1 0 3
30.36	34	0 1 -4
30.78	55	1 0 -4
33.68	29	0 1 4
35.11	35	0 1 -5
36.22	40	1 1 -1
37.75	29	1 1 1
38.72	31	1 -2 1
42.57	31	2 -1 2
44.74	25	2 0 -2

---

Entry 4:
# Ag3SI
Calculated powder diffractogram, CuKα. Input: the PBE geometry in the Materials Project.

Cell and atoms:
a = 4.3197 Å, b = 4.7321 Å, c = 13.2787 Å
α = 89.66°, β = 87.08°, γ = 89.89°
Positions (direct):
Ag 0.0000 0.0000 0.0000
Ag 0.0270 0.2195 0.7868
Ag 0.5471 0.6803 0.8225
Ag 0.6064 0.5098 0.0554
Ag 0.6999 0.6475 0.3208
Ag 0.8736 0.1517 0.2137
S 0.0568 0.6655 0.1521
S 0.5022 0.1900 0.9114
I 0.0635 0.7209 0.6652
I 0.4832 0.1501 0.4117

Largest 12 diffraction maxima, sorted by position, 2θ from 10° to 90°:
two_theta	I (rel.)	hkl
13.35	61	0 0 2
21.33	79	1 0 1
24.03	100	1 0 2
28.52	62	1 1 1
29.05	78	-1 1 1
31.59	89	1 1 -2
33.08	47	0 1 -4
33.23	55	1 0 4
38.03	54	0 2 0
39.90	64	-1 1 4
40.03	91	1 1 -4
45.39	49	1 2 2